No. 1
Calculated X-ray diffraction stick pattern
Compound: CaLa2Mg6
Radiation: Cu Kα X-rays
Structure: DFT lattice parameters and positions (GGA-PBE)
No peak broadening, texture or thermal motion is included.

Crystal structure
a = 9.263 Å, b = 9.263 Å, c = 3.472 Å
α = 90.00°, β = 90.00°, γ = 120.00°
Positions (direct):
Ca (0.000, 0.000, 0.000)
La (0.333, 0.667, 0.000)
La (0.667, 0.333, 0.000)
Mg (0.000, 0.333, 0.500)
Mg (0.000, 0.667, 0.500)
Mg (0.333, 0.000, 0.500)
Mg (0.333, 0.333, 0.500)
Mg (0.667, 0.000, 0.500)
Mg (0.667, 0.667, 0.500)

Largest 12 diffraction maxima, low angle first, 2θ from 5° to 70°:
11.0 deg, I 32.8; 19.2 deg, I 66.4; 28.0 deg, I 8.2; 32.2 deg, I 100.0; 33.5 deg, I 64.4; 38.9 deg, I 10.9; 47.2 deg, I 33.8; 52.3 deg, I 9.3; 56.6 deg, I 9.7; 59.1 deg, I 34.0; 59.9 deg, I 11.6; 63.9 deg, I 19.8

=====

No. 2
Calculated X-ray diffraction stick pattern
Compound: Tb8Sm2Tm3
Radiation: Cu Kα X-rays
Structure: DFT lattice parameters and positions (GGA-PBE)
No peak broadening, texture or thermal motion is included.

Crystal structure
a = 8.699 Å, b = 8.699 Å, c = 6.798 Å
α = 105.56°, β = 105.56°, γ = 63.26°
Positions (direct):
Tb (0.065, 0.701, 0.322)
Tb (0.084, 0.084, 0.223)
Tb (0.299, 0.935, 0.678)
Tb (0.311, 0.311, 0.613)
Tb (0.689, 0.689, 0.387)
Tb (0.701, 0.065, 0.322)
Tb (0.916, 0.916, 0.777)
Tb (0.935, 0.299, 0.678)
Sm (0.287, 0.287, 0.082)
Sm (0.713, 0.713, 0.918)
Tm (0.329, 0.671, 0.000)
Tm (0.500, 0.500, 0.500)
Tm (0.671, 0.329, 0.000)

Largest 12 diffraction maxima, low angle first, 2θ from 5° to 70°:
29.1 deg, I 62.1; 31.2 deg, I 74.1; 31.9 deg, I 100.0; 32.3 deg, I 62.5; 33.1 deg, I 29.0; 33.3 deg, I 72.1; 35.2 deg, I 32.5; 35.6 deg, I 31.7; 41.6 deg, I 22.7; 59.6 deg, I 25.6; 60.5 deg, I 20.5; 60.9 deg, I 27.7

=====

No. 3
Calculated X-ray diffraction stick pattern
Compound: RbCaCuTe2
Radiation: Cu Kα X-rays
Structure: DFT lattice parameters and positions (GGA-PBE)
No peak broadening, texture or thermal motion is included.

Crystal structure
a = 9.207 Å, b = 9.207 Å, c = 5.896 Å
α = 90.00°, β = 90.00°, γ = 129.28°
Positions (direct):
Rb (0.250, 0.750, 0.762)
Rb (0.750, 0.250, 0.238)
Ca (0.250, 0.250, 0.500)
Ca (0.750, 0.750, 0.500)
Cu (0.000, 0.000, 0.000)
Cu (0.500, 0.500, 0.000)
Te (0.116, 0.884, 0.258)
Te (0.384, 0.616, 0.258)
Te (0.616, 0.384, 0.742)
Te (0.884, 0.116, 0.742)

Largest 12 diffraction maxima, low angle first, 2θ from 5° to 70°:
19.5 deg, I 13.0; 22.5 deg, I 49.1; 24.8 deg, I 100.0; 32.2 deg, I 9.3; 32.9 deg, I 24.7; 37.4 deg, I 14.3; 38.1 deg, I 17.7; 41.0 deg, I 25.9; 43.5 deg, I 11.5; 46.0 deg, I 11.0; 49.5 deg, I 10.1; 50.6 deg, I 13.8

=====

No. 4
Calculated X-ray diffraction stick pattern
Compound: Pm4NiSb
Radiation: Cu Kα X-rays
Structure: DFT lattice parameters and positions (GGA-PBE)
No peak broadening, texture or thermal motion is included.

Crystal structure
a = 8.350 Å, b = 8.350 Å, c = 6.129 Å
α = 103.61°, β = 103.61°, γ = 115.84°
Positions (direct):
Pm (0.073, 0.697, 0.922)
Pm (0.201, 0.341, 0.667)
Pm (0.303, 0.927, 0.578)
Pm (0.341, 0.201, 0.167)
Pm (0.659, 0.799, 0.833)
Pm (0.697, 0.073, 0.422)
Pm (0.799, 0.659, 0.333)
Pm (0.927, 0.303, 0.078)
Ni (0.002, 0.998, 0.750)
Ni (0.998, 0.002, 0.250)
Sb (0.381, 0.619, 0.250)
Sb (0.619, 0.381, 0.750)

Largest 12 diffraction maxima, low angle first, 2θ from 5° to 70°:
24.2 deg, I 17.2; 30.0 deg, I 100.0; 30.2 deg, I 37.9; 30.9 deg, I 68.4; 33.0 deg, I 61.3; 33.6 deg, I 41.8; 35.1 deg, I 46.8; 35.6 deg, I 66.0; 39.0 deg, I 18.4; 40.1 deg, I 16.3; 47.5 deg, I 19.9; 50.2 deg, I 16.3

=====

No. 5
Calculated X-ray diffraction stick pattern
Compound: Sc3Bi2Te
Radiation: Cu Kα X-rays
Structure: DFT lattice parameters and positions (GGA-PBE)
No peak broadening, texture or thermal motion is included.

Crystal structure
a = 14.052 Å, b = 13.398 Å, c = 7.326 Å
α = 79.51°, β = 69.65°, γ = 30.84°
Positions (direct):
Sc (0.041, 0.542, 0.208)
Sc (0.125, 0.625, 0.625)
Sc (0.208, 0.709, 0.041)
Sc (0.291, 0.792, 0.458)
Sc (0.375, 0.875, 0.875)
Sc (0.458, 0.959, 0.291)
Sc (0.542, 0.041, 0.709)
Sc (0.625, 0.125, 0.125)
Sc (0.709, 0.208, 0.542)
Sc (0.792, 0.291, 0.959)
Sc (0.875, 0.375, 0.375)
Sc (0.959, 0.458, 0.792)
Bi (0.042, 0.042, 0.208)
Bi (0.125, 0.125, 0.625)
Bi (0.208, 0.208, 0.042)
Bi (0.375, 0.375, 0.875)
Bi (0.625, 0.625, 0.125)
Bi (0.792, 0.792, 0.958)
Bi (0.875, 0.875, 0.375)
Bi (0.958, 0.958, 0.792)
Te (0.292, 0.292, 0.458)
Te (0.458, 0.458, 0.292)
Te (0.542, 0.542, 0.708)
Te (0.708, 0.708, 0.542)

Largest 12 diffraction maxima, low angle first, 2θ from 5° to 70°:
13.3 deg, I 4.4; 21.7 deg, I 1.5; 24.9 deg, I 1.1; 25.8 deg, I 67.1; 29.9 deg, I 100.0; 42.7 deg, I 62.8; 42.8 deg, I 12.5; 50.6 deg, I 35.3; 53.0 deg, I 26.6; 62.0 deg, I 12.4; 68.3 deg, I 7.6; 68.4 deg, I 7.5

=====

No. 6
Calculated X-ray diffraction stick pattern
Compound: TcIr3Ru3
Radiation: Cu Kα X-rays
Structure: DFT lattice parameters and positions (GGA-PBE)
No peak broadening, texture or thermal motion is included.

Crystal structure
a = 11.334 Å, b = 11.334 Å, c = 2.675 Å
α = 90.00°, β = 90.00°, γ = 120.00°
Positions (direct):
Tc (0.333, 0.667, 0.250)
Tc (0.667, 0.333, 0.750)
Ir (0.161, 0.429, 0.250)
Ir (0.269, 0.839, 0.250)
Ir (0.429, 0.269, 0.750)
Ir (0.571, 0.731, 0.250)
Ir (0.731, 0.161, 0.750)
Ir (0.839, 0.571, 0.750)
Ru (0.048, 0.612, 0.250)
Ru (0.388, 0.436, 0.250)
Ru (0.436, 0.048, 0.750)
Ru (0.564, 0.952, 0.250)
Ru (0.612, 0.564, 0.750)
Ru (0.952, 0.388, 0.750)

Largest 12 diffraction maxima, low angle first, 2θ from 5° to 70°:
9.0 deg, I 100.0; 24.0 deg, I 32.6; 32.9 deg, I 15.8; 34.8 deg, I 30.2; 40.0 deg, I 7.6; 42.2 deg, I 34.3; 43.7 deg, I 6.8; 47.7 deg, I 28.0; 49.1 deg, I 8.7; 50.5 deg, I 8.8; 53.2 deg, I 11.9; 63.2 deg, I 7.9

=====

No. 7
Calculated X-ray diffraction stick pattern
Compound: ReTe3
Radiation: Cu Kα X-rays
Structure: DFT lattice parameters and positions (GGA-PBE)
No peak broadening, texture or thermal motion is included.

Crystal structure
a = 11.115 Å, b = 11.115 Å, c = 11.115 Å
α = 17.35°, β = 17.35°, γ = 17.35°
Positions (direct):
Re (0.000, 0.000, 0.000)
Te (0.275, 0.275, 0.275)
Te (0.500, 0.500, 0.500)
Te (0.725, 0.725, 0.725)

Largest 12 diffraction maxima, low angle first, 2θ from 5° to 70°:
8.1 deg, I 83.6; 16.2 deg, I 16.4; 24.4 deg, I 8.9; 32.7 deg, I 100.0; 36.4 deg, I 21.0; 37.9 deg, I 36.2; 41.5 deg, I 17.1; 43.5 deg, I 15.3; 50.0 deg, I 32.4; 54.7 deg, I 26.7; 65.2 deg, I 18.4; 68.5 deg, I 6.5

=====

No. 8
Calculated X-ray diffraction stick pattern
Compound: Se2BrF
Radiation: Cu Kα X-rays
Structure: DFT lattice parameters and positions (GGA-PBE)
No peak broadening, texture or thermal motion is included.

Crystal structure
a = 7.201 Å, b = 6.883 Å, c = 11.214 Å
α = 90.00°, β = 119.07°, γ = 90.00°
Positions (direct):
Se (0.119, 0.135, 0.006)
Se (0.119, 0.365, 0.506)
Se (0.378, 0.626, 0.493)
Se (0.378, 0.874, 0.993)
Se (0.622, 0.126, 0.007)
Se (0.622, 0.374, 0.507)
Se (0.881, 0.635, 0.494)
Se (0.881, 0.865, 0.994)
Br (0.383, 0.241, 0.271)
Br (0.383, 0.259, 0.771)
Br (0.617, 0.741, 0.229)
Br (0.617, 0.759, 0.729)
F (0.086, 0.682, 0.993)
F (0.086, 0.818, 0.493)
F (0.914, 0.182, 0.507)
F (0.914, 0.318, 0.007)

Largest 12 diffraction maxima, low angle first, 2θ from 5° to 70°:
15.7 deg, I 100.0; 18.1 deg, I 36.9; 21.1 deg, I 31.4; 28.3 deg, I 78.4; 30.3 deg, I 20.8; 36.4 deg, I 36.7; 36.7 deg, I 36.7; 38.7 deg, I 29.2; 43.1 deg, I 24.9; 43.1 deg, I 23.6; 51.6 deg, I 19.1; 56.7 deg, I 18.5